(1)
Simulated powder diffraction line list
Compound: V2FeNi7As2
Radiation: Cu Kα (weighted mean of Kα1 and Kα2)
Structure: a DFT-relaxed cell (GGA-PBE, Alexandria)
Intensities are scaled so that the largest is 100.

Cell and atoms:
Lattice parameters (Å, degrees): 3.550 3.550 11.676 90.08 90.08 89.91
Element x y z (fractional)
V: 0.001 0.001 0.328
V: 0.999 0.999 0.672
Fe: 0.500 0.500 0.000
Ni: 0.000 0.000 0.000
Ni: 0.001 0.501 0.153
Ni: 0.253 0.253 0.501
Ni: 0.499 0.999 0.847
Ni: 0.501 0.001 0.153
Ni: 0.747 0.747 0.499
Ni: 0.999 0.499 0.847
As: 0.499 0.499 0.699
As: 0.501 0.501 0.301

Principal peaks in the range 10° ≤ 2θ ≤ 90°, in order of rising 2θ:
d [Å], two_theta, I/Imax
2.508, 35.80, 6.9
2.452, 36.64, 13.2
2.110, 42.86, 100.0
1.946, 46.68, 20.1
1.903, 47.80, 22.2
1.775, 51.49, 19.4
1.755, 52.12, 13.6
1.698, 54.00, 9.9

(2)
Simulated powder diffraction line list
Compound: Cd6SnHg8
Radiation: Cu Kα (weighted mean of Kα1 and Kα2)
Structure: a DFT-relaxed cell (GGA-PBE, Alexandria)
Intensities are scaled so that the largest is 100.

Cell and atoms:
Lattice parameters (Å, degrees): 7.622 7.622 7.864 90.00 90.00 120.00
Element x y z (fractional)
Cd: 0.097 0.680 0.365
Cd: 0.320 0.416 0.365
Cd: 0.416 0.097 0.635
Cd: 0.584 0.903 0.365
Cd: 0.680 0.584 0.635
Cd: 0.903 0.320 0.635
Sn: 0.000 0.000 0.500
Hg: 0.004 0.689 0.887
Hg: 0.311 0.315 0.887
Hg: 0.315 0.004 0.113
Hg: 0.333 0.667 0.692
Hg: 0.667 0.333 0.308
Hg: 0.685 0.996 0.887
Hg: 0.689 0.685 0.113
Hg: 0.996 0.311 0.113

Principal peaks in the range 10° ≤ 2θ ≤ 90°, in order of rising 2θ:
d [Å], two_theta, I/Imax
3.430, 25.98, 36.5
3.043, 29.35, 16.8
2.737, 32.73, 100.0
2.378, 37.83, 26.3
2.200, 41.02, 42.5
2.160, 41.83, 12.9
1.852, 49.20, 11.8
1.417, 65.93, 14.3